Ca2Al2AgPd5: theoretical X-ray powder pattern (Cu Ka), based on a structure optimized by DFT (PBE).

Principal peaks in the range 10° ≤ 2θ ≤ 80°, in order of falling intensity:
2theta	I (rel.)	index
37.8	100	3 1 1
36.6	40	4 1 0
35.5	37	2 2 1
40.9	33	3 2 1
31.9	30	3 2 0
39.8	27	4 2 0
71.0	23	7 1 1
51.2	18	0 0 2
25.0	18	0 0 1
44.8	16	4 1 1

Structure:
```
data_Ca2Al2AgPd5
_chemical_formula_sum 'Ca4 Al4 Ag2 Pd10'
_cell_length_a 10.117
_cell_length_b 10.117
_cell_length_c 3.566
_cell_angle_alpha 90.00
_cell_angle_beta 90.00
_cell_angle_gamma 90.00
_space_group_name_H-M_alt 'P 4/m b m'
_space_group_IT_number 127
_space_group_name_Hall '-P 4 2ab'
loop_
_atom_site_label
_atom_site_type_symbol
_atom_site_fract_x
_atom_site_fract_y
_atom_site_fract_z
Ca1 Ca 0.176 0.324 0.000
Al1 Al 0.124 0.624 0.000
Ag1 Ag 0.000 0.000 0.000
Pd1 Pd 0.000 0.500 0.500
Pd2 Pd 0.067 0.791 0.500
```


CaAl2Zn4Ag: theoretical X-ray powder pattern (Cu Ka), based on a structure optimized by DFT (PBE).

Principal peaks in the range 10° ≤ 2θ ≤ 80°, in order of falling intensity:
2theta	I (rel.)	index
41.4	100	1 1 0
35.5	100	0 1 8
24.5	34	0 1 2
43.7	33	0 1 11
55.7	26	2 0 8
40.9	24	1 0 10
71.7	23	1 2 8
75.6	15	3 0 0
59.6	14	0 2 10
42.7	13	1 1 3

Structure:
```
data_CaAl2Zn4Ag
_chemical_formula_sum 'Ca3 Al6 Zn12 Ag3'
_cell_length_a 4.3575
_cell_length_b 4.3575
_cell_length_c 27.2438
_cell_angle_alpha 90.00
_cell_angle_beta 90.00
_cell_angle_gamma 120.00
_space_group_name_H-M_alt 'R -3 m'
_space_group_IT_number 166
_space_group_name_Hall '-R 3 2"'
loop_
_atom_site_label
_atom_site_type_symbol
_atom_site_fract_x
_atom_site_fract_y
_atom_site_fract_z
Ca1 Ca 0.0000 0.0000 0.0000
Al1 Al 0.0000 0.0000 0.2460
Zn1 Zn 0.0000 0.0000 0.1259
Zn2 Zn 0.0000 0.0000 0.3998
Ag1 Ag 0.0000 0.0000 0.5000
```


CaAlZn2Ag5: theoretical X-ray powder pattern (Cu Ka), based on a structure optimized by DFT (PBE).

Principal peaks in the range 10° ≤ 2θ ≤ 80°, in order of falling intensity:
2theta	I (rel.)	index
35.3	100	1 1 2
36.2	94	2 0 0
52.2	31	2 2 0
64.6	31	3 1 2
17.9	31	1 0 0
52.3	26	2 0 3
24.1	20	0 0 2
36.4	19	0 0 3
44.0	16	2 0 2
40.9	13	1 0 3

Structure:
```
data_CaAlZn2Ag5
_chemical_formula_sum 'Ca1 Al1 Zn2 Ag5'
_cell_length_a 4.957
_cell_length_b 4.957
_cell_length_c 7.399
_cell_angle_alpha 90.00
_cell_angle_beta 90.00
_cell_angle_gamma 90.00
_space_group_name_H-M_alt 'P 4/m m m'
_space_group_IT_number 123
_space_group_name_Hall '-P 4 2'
loop_
_atom_site_label
_atom_site_type_symbol
_atom_site_fract_x
_atom_site_fract_y
_atom_site_fract_z
Ca1 Ca 0.000 0.000 0.000
Al1 Al 0.000 0.000 0.500
Zn1 Zn 0.500 0.500 0.341
Ag1 Ag 0.000 0.500 0.279
Ag2 Ag 0.500 0.500 0.000
```


AlCd8Ag6: theoretical X-ray powder pattern (Cu Ka), based on a structure optimized by DFT (PBE).

Principal peaks in the range 10° ≤ 2θ ≤ 80°, in order of falling intensity:
2theta	I (rel.)	index
38.3	100	2 -1 6
39.0	82	3 0 0
55.8	31	2 2 6
70.2	29	5 -1 6
22.2	25	1 1 0
27.1	13	2 -1 3
70.7	12	3 3 0
68.7	11	1 1 12
77.6	8	3 0 12
15.2	6	0 0 3

Structure:
```
data_AlCd8Ag6
_chemical_formula_sum 'Al3 Cd24 Ag18'
_cell_length_a 7.9990
_cell_length_b 7.9990
_cell_length_c 17.4413
_cell_angle_alpha 90.00
_cell_angle_beta 90.00
_cell_angle_gamma 120.00
_space_group_name_H-M_alt 'R -3'
_space_group_IT_number 148
_space_group_name_Hall '-R 3'
loop_
_atom_site_label
_atom_site_type_symbol
_atom_site_fract_x
_atom_site_fract_y
_atom_site_fract_z
Al1 Al 0.0000 0.0000 0.0000
Cd1 Cd 0.0000 0.0000 0.3334
Cd2 Cd 0.0012 0.3430 0.8779
Ag1 Ag 0.0001 0.3187 0.0468
```


AlCd3Ag3: theoretical X-ray powder pattern (Cu Ka), based on a structure optimized by DFT (PBE).

Principal peaks in the range 10° ≤ 2θ ≤ 80°, in order of falling intensity:
2theta	I (rel.)	index
39.8	100	2 2 -2
36.3	72	2 0 2
37.4	59	1 3 2
40.1	45	0 2 4
42.3	41	0 4 2
35.0	40	0 0 4
38.9	38	1 1 -4
41.2	36	2 2 2
40.3	35	1 1 4
36.7	32	1 3 -2

Structure:
```
data_AlCd3Ag3
_chemical_formula_sum 'Al4 Cd12 Ag12'
_cell_length_a 5.831
_cell_length_b 9.393
_cell_length_c 10.257
_cell_angle_alpha 90.00
_cell_angle_beta 92.77
_cell_angle_gamma 90.00
_space_group_name_H-M_alt 'C 1 2/m 1'
_space_group_IT_number 12
loop_
_space_group_symop_operation_xyz
'x,y,z'
'-x,-y,-z'
'-x,y,-z'
'x,-y,z'
'x+1/2,y+1/2,z'
'-x+1/2,-y+1/2,-z'
'-x+1/2,y+1/2,-z'
'x+1/2,-y+1/2,z'
loop_
_atom_site_label
_atom_site_type_symbol
_atom_site_fract_x
_atom_site_fract_y
_atom_site_fract_z
Al1 Al 0.090 0.000 0.388
Cd1 Cd 0.000 0.323 0.500
Cd2 Cd 0.000 0.326 0.000
Cd3 Cd 0.065 0.000 0.872
Ag1 Ag 0.003 0.500 0.746
Ag2 Ag 0.230 0.242 0.254
```


AlCdAg5: theoretical X-ray powder pattern (Cu Ka), based on a structure optimized by DFT (PBE).

Principal peaks in the range 10° ≤ 2θ ≤ 80°, in order of falling intensity:
2theta	I (rel.)	index
37.2	100	0 2 3
38.0	96	2 2 1
41.0	75	2 0 4
29.2	44	2 0 2
71.7	24	2 2 7
40.1	22	3 1 1
39.2	19	3 1 0
67.2	19	3 3 4
30.6	18	1 1 3
72.8	15	2 4 4

Structure:
```
data_AlCdAg5
_chemical_formula_sum 'Al4 Cd4 Ag20'
_cell_length_a 7.379
_cell_length_b 6.433
_cell_length_c 10.980
_cell_angle_alpha 90.00
_cell_angle_beta 90.00
_cell_angle_gamma 90.00
_space_group_name_H-M_alt 'C m c m'
_space_group_IT_number 63
_space_group_name_Hall '-C 2c 2'
loop_
_atom_site_label
_atom_site_type_symbol
_atom_site_fract_x
_atom_site_fract_y
_atom_site_fract_z
Al1 Al 0.000 0.000 0.000
Cd1 Cd 0.000 0.353 0.250
Ag1 Ag 0.000 0.071 0.750
Ag2 Ag 0.202 0.357 0.607
```


Al2Cd2Ag5: theoretical X-ray powder pattern (Cu Ka), based on a structure optimized by DFT (PBE).

Principal peaks in the range 10° ≤ 2θ ≤ 80°, in order of falling intensity:
2theta	I (rel.)	index
37.1	100	5 1 1
38.3	88	4 2 1
27.9	73	0 2 1
41.1	65	1 1 3
36.5	64	4 0 2
40.3	64	1 3 1
35.8	63	0 2 2
34.4	55	3 1 2
36.0	54	4 2 0
29.0	45	1 1 2

Structure:
```
data_Al2Cd2Ag5
_chemical_formula_sum 'Al8 Cd8 Ag20'
_cell_length_a 13.854
_cell_length_b 7.181
_cell_length_c 7.018
_cell_angle_alpha 90.00
_cell_angle_beta 90.00
_cell_angle_gamma 90.00
_space_group_name_H-M_alt 'C m c e'
_space_group_IT_number 64
_space_group_name_Hall '-C 2ac 2'
loop_
_atom_site_label
_atom_site_type_symbol
_atom_site_fract_x
_atom_site_fract_y
_atom_site_fract_z
Al1 Al 0.000 0.139 0.136
Cd1 Cd 0.210 0.000 0.500
Ag1 Ag 0.000 0.000 0.500
Ag2 Ag 0.124 0.157 0.835
```


AlCdAg2: theoretical X-ray powder pattern (Cu Ka), based on a structure optimized by DFT (PBE).

Principal peaks in the range 10° ≤ 2θ ≤ 80°, in order of falling intensity:
2theta	I (rel.)	index
37.2	100	1 1 1
42.9	44	3 1 -1
37.7	32	2 0 -2
44.5	19	2 0 2
63.1	13	5 1 1
63.8	13	1 1 -3
18.3	11	2 0 0
18.1	9	0 0 1
74.5	8	4 2 0
74.8	8	2 2 -2

Structure:
```
data_AlCdAg2
_chemical_formula_sum 'Al2 Cd2 Ag4'
_cell_length_a 9.857
_cell_length_b 2.998
_cell_length_c 5.008
_cell_angle_alpha 90.00
_cell_angle_beta 101.10
_cell_angle_gamma 90.00
_space_group_name_H-M_alt 'C 1 m 1'
_space_group_IT_number 8
loop_
_space_group_symop_operation_xyz
'x,y,z'
'x,-y,z'
'x+1/2,y+1/2,z'
'x+1/2,-y+1/2,z'
loop_
_atom_site_label
_atom_site_type_symbol
_atom_site_fract_x
_atom_site_fract_y
_atom_site_fract_z
Al1 Al 0.000 0.000 0.000
Cd1 Cd 0.250 0.500 0.276
Ag1 Ag 0.007 0.500 0.519
Ag2 Ag 0.262 0.000 0.785
```


Al2Cd2Ag5: theoretical X-ray powder pattern (Cu Ka), based on a structure optimized by DFT (PBE).

Principal peaks in the range 10° ≤ 2θ ≤ 80°, in order of falling intensity:
2theta	I (rel.)	index
39.3	100	0 0 3
34.1	62	1 1 1
36.5	59	6 0 -2
12.9	32	0 0 1
39.6	31	1 1 -2
76.8	28	0 2 3
41.5	23	5 1 0
49.2	18	7 1 -1
41.2	18	5 1 -1
41.7	16	1 1 2

Structure:
```
data_Al2Cd2Ag5
_chemical_formula_sum 'Al4 Cd4 Ag10'
_cell_length_a 16.699
_cell_length_b 2.953
_cell_length_c 7.139
_cell_angle_alpha 90.00
_cell_angle_beta 105.71
_cell_angle_gamma 90.00
_space_group_name_H-M_alt 'C 1 2/m 1'
_space_group_IT_number 12
loop_
_space_group_symop_operation_xyz
'x,y,z'
'-x,-y,-z'
'-x,y,-z'
'x,-y,z'
'x+1/2,y+1/2,z'
'-x+1/2,-y+1/2,-z'
'-x+1/2,y+1/2,-z'
'x+1/2,-y+1/2,z'
loop_
_atom_site_label
_atom_site_type_symbol
_atom_site_fract_x
_atom_site_fract_y
_atom_site_fract_z
Al1 Al 0.175 0.000 0.027
Cd1 Cd 0.099 0.500 0.350
Ag1 Ag 0.000 0.000 0.000
Ag2 Ag 0.063 0.000 0.681
Ag3 Ag 0.230 0.000 0.671
```


AlCdAg2: theoretical X-ray powder pattern (Cu Ka), based on a structure optimized by DFT (PBE).

Principal peaks in the range 10° ≤ 2θ ≤ 80°, in order of falling intensity:
2theta	I (rel.)	index
36.8	100	1 1 1
42.6	66	3 1 -1
36.4	53	2 0 -2
39.0	46	4 0 0
44.8	27	2 0 2
61.7	21	1 1 -3
65.3	16	5 1 1
77.3	15	4 0 -4
29.1	14	2 0 1
30.8	13	1 1 0

Structure:
```
data_AlCdAg2
_chemical_formula_sum 'Al2 Cd2 Ag4'
_cell_length_a 9.496
_cell_length_b 3.059
_cell_length_c 5.188
_cell_angle_alpha 90.00
_cell_angle_beta 103.49
_cell_angle_gamma 90.00
_space_group_name_H-M_alt 'C 1 2/m 1'
_space_group_IT_number 12
loop_
_space_group_symop_operation_xyz
'x,y,z'
'-x,-y,-z'
'-x,y,-z'
'x,-y,z'
'x+1/2,y+1/2,z'
'-x+1/2,-y+1/2,-z'
'-x+1/2,y+1/2,-z'
'x+1/2,-y+1/2,z'
loop_
_atom_site_label
_atom_site_type_symbol
_atom_site_fract_x
_atom_site_fract_y
_atom_site_fract_z
Al1 Al 0.000 0.000 0.000
Cd1 Cd 0.000 0.500 0.500
Ag1 Ag 0.239 0.500 0.236
```


K2AlCd12Ag3: theoretical X-ray powder pattern (Cu Ka), based on a structure optimized by DFT (PBE).

Principal peaks in the range 10° ≤ 2θ ≤ 80°, in order of falling intensity:
2theta	I (rel.)	index
37.0	100	1 2 2
36.4	83	2 0 8
29.9	79	0 2 4
40.7	78	0 2 10
28.1	70	2 0 2
48.5	62	2 2 0
43.0	57	2 0 11
27.2	54	0 1 8
45.5	49	3 0 6
32.6	48	1 0 10

Structure:
```
data_K2AlCd12Ag3
_chemical_formula_sum 'K6 Al3 Cd36 Ag9'
_cell_length_a 7.5106
_cell_length_b 7.5106
_cell_length_c 30.3312
_cell_angle_alpha 90.00
_cell_angle_beta 90.00
_cell_angle_gamma 120.00
_space_group_name_H-M_alt 'R -3 m'
_space_group_IT_number 166
_space_group_name_Hall '-R 3 2"'
loop_
_atom_site_label
_atom_site_type_symbol
_atom_site_fract_x
_atom_site_fract_y
_atom_site_fract_z
K1 K 0.0000 0.0000 0.1530
Al1 Al 0.0000 0.0000 0.5000
Cd1 Cd 0.0498 0.5249 0.0962
Cd2 Cd 0.0700 0.5350 0.6184
Ag1 Ag 0.0000 0.5000 0.0000
```


Mg3Al2CdAg3: theoretical X-ray powder pattern (Cu Ka), based on a structure optimized by DFT (PBE).

Principal peaks in the range 10° ≤ 2θ ≤ 80°, in order of falling intensity:
2theta	I (rel.)	index
37.3	100	1 1 1
38.7	98	3 0 0
22.1	71	1 1 0
39.6	59	2 0 1
25.5	46	2 0 0
66.1	34	3 2 1
34.0	31	2 1 0
45.8	30	2 1 1
29.7	28	0 0 1
75.3	26	3 0 2

Structure:
```
data_Mg3Al2CdAg3
_chemical_formula_sum 'Mg3 Al2 Cd1 Ag3'
_cell_length_a 8.0609
_cell_length_b 8.0609
_cell_length_c 3.0045
_cell_angle_alpha 90.00
_cell_angle_beta 90.00
_cell_angle_gamma 120.00
_space_group_name_H-M_alt 'P -6 2 m'
_space_group_IT_number 189
_space_group_name_Hall 'P -6 -2'
loop_
_atom_site_label
_atom_site_type_symbol
_atom_site_fract_x
_atom_site_fract_y
_atom_site_fract_z
Mg1 Mg 0.0000 0.3019 0.0000
Al1 Al 0.3333 0.6667 0.0000
Cd1 Cd 0.0000 0.0000 0.5000
Ag1 Ag 0.0000 0.6209 0.5000
```


AlCdAg2Te4: theoretical X-ray powder pattern (Cu Ka), based on a structure optimized by DFT (PBE).

Principal peaks in the range 10° ≤ 2θ ≤ 80°, in order of falling intensity:
2theta	I (rel.)	index
24.1	100	1 1 2
40.0	50	2 0 4
46.9	32	1 3 2
39.7	26	2 2 0
72.2	16	4 2 4
47.5	15	1 1 6
63.6	13	3 1 6
57.3	8	4 0 0
72.8	8	2 2 8
77.1	7	5 1 2

Structure:
```
data_AlCdAg2Te4
_chemical_formula_sum 'Al2 Cd2 Ag4 Te8'
_cell_length_a 6.429
_cell_length_b 6.429
_cell_length_c 12.655
_cell_angle_alpha 90.00
_cell_angle_beta 90.00
_cell_angle_gamma 90.00
_space_group_name_H-M_alt 'I -4'
_space_group_IT_number 82
loop_
_space_group_symop_operation_xyz
'x,y,z'
'y,-x,-z'
'-x,-y,z'
'-y,x,-z'
'x+1/2,y+1/2,z+1/2'
'y+1/2,-x+1/2,-z+1/2'
'-x+1/2,-y+1/2,z+1/2'
'-y+1/2,x+1/2,-z+1/2'
loop_
_atom_site_label
_atom_site_type_symbol
_atom_site_fract_x
_atom_site_fract_y
_atom_site_fract_z
Al1 Al 0.000 0.000 0.000
Cd1 Cd 0.000 0.500 0.250
Ag1 Ag 0.000 0.000 0.500
Ag2 Ag 0.000 0.500 0.750
Te1 Te 0.236 0.246 0.881
```